# 1
Diffraction record for SnPCl. The powder XRD pattern is simulated, not measured: it uses a cell relaxed with GGA-PBE and copper Kα.
Peak positions follow from Bragg's law for the DFT cell and can differ from measured ones.

Peak list (10 most intense, 2θ = 5–70°, by angle)
21.17°, 4.196 Å, I 36
22.42°, 3.965 Å, I 83
25.38°, 3.509 Å, I 57
25.49°, 3.494 Å, I 81
30.72°, 2.910 Å, I 77
34.18°, 2.623 Å, I 100
34.25°, 2.618 Å, I 43
43.03°, 2.102 Å, I 37
43.14°, 2.097 Å, I 56
47.72°, 1.906 Å, I 37

Structural model:
a = 8.735 Å, b = 8.735 Å, c = 8.735 Å
α = 106.26°, β = 92.45°, γ = 132.63°
Fractional positions:
1 Sn 0.158 0.038 0.196
2 Sn 0.158 0.462 0.621
3 Sn 0.381 0.666 0.216
4 Sn 0.450 0.166 0.784
5 Sn 0.842 0.538 0.379
6 Sn 0.842 0.962 0.804
7 P 0.307 0.307 0.000
8 P 0.307 0.807 0.500
9 P 0.529 0.076 0.379
10 P 0.529 0.650 0.952
11 P 0.697 0.150 0.621
12 P 0.697 0.576 0.048
13 Cl 0.041 0.514 0.027
14 Cl 0.313 0.271 0.542
15 Cl 0.488 0.014 0.973
16 Cl 0.729 0.771 0.458
17 Cl 0.926 0.701 0.725
18 Cl 0.976 0.201 0.275


# 2
Diffraction record for Pa2TlTe. The powder XRD pattern is simulated, not measured: it uses a cell relaxed with GGA-PBE and copper Kα.
Peak positions follow from Bragg's law for the DFT cell and can differ from measured ones.

Peak list (10 most intense, 2θ = 5–70°, by angle)
16.12°, 5.500 Å, I 3
22.87°, 3.889 Å, I 4
32.56°, 2.750 Å, I 58
34.51°, 2.599 Å, I 100
41.80°, 2.161 Å, I 2
46.71°, 1.944 Å, I 22
52.37°, 1.747 Å, I 8
59.36°, 1.557 Å, I 43
63.04°, 1.475 Å, I 18
68.21°, 1.375 Å, I 7

Structural model:
a = 5.500 Å, b = 5.500 Å, c = 3.494 Å
α = 90.00°, β = 90.00°, γ = 90.00°
Fractional positions:
1 Pa 0.000 0.500 0.000
2 Pa 0.500 0.000 0.000
3 Tl 0.000 0.000 0.500
4 Te 0.500 0.500 0.500


# 3
Diffraction record for SrGa9Cu2. The powder XRD pattern is simulated, not measured: it uses a cell relaxed with GGA-PBE and copper Kα.
Peak positions follow from Bragg's law for the DFT cell and can differ from measured ones.

Peak list (10 most intense, 2θ = 5–70°, by angle)
14.39°, 6.155 Å, I 11
31.90°, 2.805 Å, I 26
35.45°, 2.532 Å, I 100
36.82°, 2.441 Å, I 60
37.12°, 2.422 Å, I 35
40.76°, 2.214 Å, I 28
40.99°, 2.202 Å, I 16
43.18°, 2.095 Å, I 86
44.36°, 2.042 Å, I 36
65.44°, 1.426 Å, I 26

Structural model:
a = 8.572 Å, b = 8.572 Å, c = 8.572 Å
α = 100.89°, β = 100.89°, γ = 128.47°
Fractional positions:
1 Sr 0.375 0.625 0.750
2 Sr 0.625 0.375 0.250
3 Ga 0.125 0.875 0.250
4 Ga 0.129 0.557 0.326
5 Ga 0.129 0.803 0.571
6 Ga 0.197 0.268 0.326
7 Ga 0.197 0.871 0.929
8 Ga 0.268 0.197 0.826
9 Ga 0.268 0.443 0.071
10 Ga 0.443 0.268 0.571
11 Ga 0.443 0.871 0.174
12 Ga 0.557 0.129 0.826
13 Ga 0.557 0.732 0.429
14 Ga 0.732 0.557 0.929
15 Ga 0.732 0.803 0.174
16 Ga 0.803 0.129 0.071
17 Ga 0.803 0.732 0.674
18 Ga 0.871 0.197 0.429
19 Ga 0.871 0.443 0.674
20 Ga 0.875 0.125 0.750
21 Cu 0.000 0.000 0.000
22 Cu 0.000 0.000 0.500
23 Cu 0.000 0.500 0.000
24 Cu 0.500 0.000 0.500